Entry 1:
This entry pairs a crystal structure of CeMg2 with its calculated X-ray powder pattern. Radiation: Cu Kα, 1.54184 Å. Structure: a cell relaxed with PBE.
No peak broadening, texture or thermal motion is included.

Structural model:
a b c (Å): 3.1771 3.1771 16.4111
angles (deg): 90.00 90.00 120.00
Space group P-3m1 (No. 164)
Unique sites:
Ce  0.3333  0.6667  0.4085 x2
Mg  0.3333  0.6667  0.0782 x2
Mg  0.3333  0.6667  0.7687 x2

Largest 10 diffraction maxima, most intense first, 10° ≤ 2θ ≤ 90°:
| two_theta | I/Imax | index |
| --- | --- | --- |
| 36.56 | 100 | 1 0 3 |
| 34.38 | 44 | 0 1 2 |
| 32.74 | 27 | 0 0 6 |
| 33.01 | 25 | 0 1 1 |
| 32.54 | 24 | 1 0 0 |
| 10.78 | 24 | 0 0 2 |
| 27.17 | 23 | 0 0 5 |
| 68.28 | 19 | 1 1 6 |
| 58.06 | 18 | 1 1 0 |
| 60.95 | 17 | 1 0 9 |



Entry 2:
This entry pairs a crystal structure of RbCeF4 with its calculated X-ray powder pattern. Radiation: Cu Kα, 1.54184 Å. Structure: a cell relaxed with PBE.
No peak broadening, texture or thermal motion is included.

Structural model:
a b c (Å): 6.541 3.796 16.391
angles (deg): 90.00 90.00 90.00
Space group Pnma (No. 62)
Unique sites:
Rb  0.225  0.250  0.200 x4
Ce  0.249  0.750  0.441 x4
F  0.000  0.250  0.056 x4
F  0.097  0.250  0.813 x4
F  0.110  0.250  0.368 x4
F  0.133  0.250  0.534 x4

Largest 10 diffraction maxima, most intense first, 10° ≤ 2θ ≤ 90°:
| two_theta | I/Imax | index |
| --- | --- | --- |
| 25.65 | 100 | 1 0 4 |
| 27.71 | 82 | 1 1 1 |
| 39.95 | 62 | 2 1 3 |
| 28.64 | 45 | 0 1 3 |
| 27.27 | 42 | 2 0 0 |
| 47.71 | 39 | 1 1 7 |
| 47.22 | 29 | 3 0 4 |
| 36.22 | 29 | 0 1 5 |
| 48.47 | 26 | 3 1 1 |
| 45.91 | 26 | 2 1 5 |



Entry 3:
This entry pairs a crystal structure of BaInCuF7 with its calculated X-ray powder pattern. Radiation: Cu Kα, 1.54184 Å. Structure: a cell relaxed with PBE.
No peak broadening, texture or thermal motion is included.

Structural model:
a b c (Å): 9.660 9.705 7.887
angles (deg): 90.00 125.04 90.00
Space group C2/c (No. 15)
Unique sites:
Ba  0.000  0.116  0.250 x4
In  0.000  0.500  0.000 x4
Cu  0.250  0.250  0.000 x4
F  0.000  0.404  0.750 x4
F  0.115  0.112  0.006 x8
F  0.146  0.350  0.497 x8
F  0.216  0.371  0.175 x8

Largest 10 diffraction maxima, most intense first, 10° ≤ 2θ ≤ 90°:
| two_theta | I/Imax | index |
| --- | --- | --- |
| 24.80 | 100 | 1 1 -2 |
| 29.13 | 73 | 2 2 0 |
| 29.81 | 69 | 1 3 0 |
| 29.99 | 69 | 2 2 -2 |
| 24.06 | 62 | 1 1 1 |
| 37.66 | 57 | 2 2 1 |
| 53.57 | 48 | 4 4 -2 |
| 30.38 | 47 | 3 1 -2 |
| 38.98 | 42 | 2 2 -3 |
| 48.28 | 40 | 1 5 0 |